Diffraction record for Pm2Co2Ge2N. The powder diffraction line list is calculated, not measured: it uses a cell relaxed with GGA-PBE and Cu Kα, 1.54184 Å.

Atomic structure:
abc: 11.029 3.927 6.978
angles: 90.00 128.11 90.00
Space group C2/m (No. 12)
Unique sites:
Pm 0.058 0.000 0.285 x4
Co 0.192 0.500 0.080 x4
Ge 0.165 0.500 0.710 x4
N 0.000 0.500 0.000 x2

Largest 10 diffraction maxima, low angle first, 2θ = 5–70°:
d/Å, intensity, index
2.745, 359, 0 0 2
2.698, 661, 1 1 1
2.674, 607, 3 1 -1
2.654, 484, 4 0 -1
2.508, 1000, 1 1 -2
2.487, 414, 3 1 -2
2.329, 667, 3 1 0
2.235, 430, 4 0 -3
1.963, 452, 0 2 0
1.459, 292, 7 1 -3

Diffraction record for UCo2GeN. The powder diffraction line list is calculated, not measured: it uses a cell relaxed with GGA-PBE and Cu Kα, 1.54184 Å.

Atomic structure:
abc: 3.329 11.523 6.899
angles: 90.00 90.00 90.00
Space group Cmcm (No. 63)
Unique sites:
U 0.000 0.030 0.250 x4
Co 0.000 0.339 0.049 x8
Ge 0.000 0.240 0.750 x4
N 0.000 0.500 0.000 x4

Largest 10 diffraction maxima, low angle first, 2θ = 5–70°:
d/Å, intensity, index
5.761, 226, 0 2 0
3.450, 270, 0 0 2
3.198, 280, 1 1 0
2.960, 300, 0 2 2
2.658, 338, 0 4 1
2.516, 581, 1 3 0
2.363, 465, 1 3 1
2.345, 1000, 1 1 2
2.211, 403, 0 4 2
1.443, 293, 1 7 1

Diffraction record for NaCo3Ge3. The powder diffraction line list is calculated, not measured: it uses a cell relaxed with GGA-PBE and Cu Kα, 1.54184 Å.

Atomic structure:
abc: 6.447 6.447 6.447
angles: 90.00 90.00 90.00
Space group Pm-3n (No. 223)
Unique sites:
Na 0.000 0.000 0.000 x2
Co 0.000 0.250 0.500 x6
Ge 0.000 0.500 0.250 x6

Largest 10 diffraction maxima, low angle first, 2θ = 5–70°:
d/Å, intensity, index
4.558, 1000, 1 1 0
3.223, 433, 2 0 0
2.632, 994, 2 1 1
2.279, 159, 2 2 0
2.039, 226, 3 1 0
1.861, 660, 2 2 2
1.723, 529, 3 2 1
1.612, 384, 4 0 0
1.519, 128, 4 1 1
1.442, 141, 4 2 0